[1]
# PmPr3Nd6Er2
Theoretical powder diffractogram, CuKα. Input: a cell relaxed with GGA-PBE.
No peak broadening, texture or thermal motion is included.

Structural model:
a = 6.346 Å, b = 6.346 Å, c = 12.113 Å
α = 95.02°, β = 95.02°, γ = 120.02°
Fractional positions:
Pm 0.000 0.000 0.000
Pr 0.167 0.833 0.500
Pr 0.500 0.500 0.500
Pr 0.833 0.167 0.500
Nd 0.082 0.417 0.245
Nd 0.252 0.252 0.755
Nd 0.417 0.082 0.245
Nd 0.583 0.918 0.755
Nd 0.748 0.748 0.245
Nd 0.918 0.583 0.755
Er 0.333 0.667 0.000
Er 0.667 0.333 0.000

Most intense lines, 10 to 80 degrees two-theta, in order of rising 2θ:
2θ (°)  d (Å)  Rel. int.
29.88  2.990  100
29.97  2.981  33
34.67  2.588  67
49.78  1.832  24
49.90  1.828  24
59.18  1.561  43
59.31  1.558  14
62.08  1.495  12
62.28  1.491  4
73.15  1.294  8



[2]
# CeSe2
Theoretical powder diffractogram, CuKα. Input: a cell relaxed with GGA-PBE.
No peak broadening, texture or thermal motion is included.

Structural model:
a = 4.204 Å, b = 4.204 Å, c = 8.289 Å
α = 90.00°, β = 90.00°, γ = 90.00°
Fractional positions:
Ce 0.250 0.250 0.231
Ce 0.750 0.750 0.769
Se 0.250 0.250 0.864
Se 0.250 0.750 0.500
Se 0.750 0.250 0.500
Se 0.750 0.750 0.136

Most intense lines, 10 to 80 degrees two-theta, in order of rising 2θ:
2θ (°)  d (Å)  Rel. int.
23.73  3.749  38
30.06  2.972  34
31.99  2.798  65
32.40  2.763  27
37.22  2.415  100
39.01  2.309  52
43.03  2.102  58
54.88  1.673  24
59.47  1.554  30
75.04  1.266  25



Repeat the second record exactly.
# CeSe2
Theoretical powder diffractogram, CuKα. Input: a cell relaxed with GGA-PBE.
No peak broadening, texture or thermal motion is included.

Structural model:
a = 4.204 Å, b = 4.204 Å, c = 8.289 Å
α = 90.00°, β = 90.00°, γ = 90.00°
Fractional positions:
Ce 0.250 0.250 0.231
Ce 0.750 0.750 0.769
Se 0.250 0.250 0.864
Se 0.250 0.750 0.500
Se 0.750 0.250 0.500
Se 0.750 0.750 0.136

Most intense lines, 10 to 80 degrees two-theta, in order of rising 2θ:
2θ (°)  d (Å)  Rel. int.
23.73  3.749  38
30.06  2.972  34
31.99  2.798  65
32.40  2.763  27
37.22  2.415  100
39.01  2.309  52
43.03  2.102  58
54.88  1.673  24
59.47  1.554  30
75.04  1.266  25